Theoretical powder diffractogram of K2AlGeAu6 for Cu Ka, from a GGA-PBE-relaxed structure.
Kinematic intensities with the Lorentz-polarization factor, no thermal factor.

Largest 12 diffraction maxima, in order of rising 2θ, 2θ from 10° to 80°:
2theta, d_spacing, I_rel
15.38, 5.760, 100
17.79, 4.985, 43
29.73, 3.005, 45
31.02, 2.883, 80
31.21, 2.866, 35
36.08, 2.489, 43
39.27, 2.294, 34
39.41, 2.286, 37
39.54, 2.279, 30
47.27, 1.923, 27
47.37, 1.919, 44
47.48, 1.915, 25

Crystal structure
abc: 7.033 7.034 7.036
angles: 60.14 60.37 60.35
Fractional coordinates of all 10 atoms:
K (0.208, 0.376, 0.208)
K (0.792, 0.624, 0.792)
Al (0.500, 0.500, 0.500)
Ge (0.000, 0.000, 0.000)
Au (0.249, 0.844, 0.250)
Au (0.250, 0.841, 0.659)
Au (0.342, 0.158, 0.750)
Au (0.658, 0.842, 0.250)
Au (0.750, 0.159, 0.341)
Au (0.751, 0.156, 0.750)

Theoretical powder diffractogram of La2AlGeAu6 for Cu Ka, from a GGA-PBE-relaxed structure.
Kinematic intensities with the Lorentz-polarization factor, no thermal factor.

Largest 12 diffraction maxima, in order of rising 2θ, 2θ from 10° to 80°:
2theta, d_spacing, I_rel
19.92, 4.457, 42
27.27, 3.270, 67
27.65, 3.226, 31
28.04, 3.182, 37
30.66, 2.916, 26
34.29, 2.615, 20
37.94, 2.372, 100
38.44, 2.342, 76
38.54, 2.336, 53
39.07, 2.306, 26
39.91, 2.259, 28
42.95, 2.106, 25

Crystal structure
abc: 5.505 6.939 7.101
angles: 83.48 67.23 66.65
Fractional coordinates of all 10 atoms:
La (0.026, 0.239, 0.211)
La (0.974, 0.761, 0.789)
Al (0.500, 0.000, 0.500)
Ge (0.500, 0.500, 0.000)
Au (0.010, 0.215, 0.767)
Au (0.351, 0.398, 0.403)
Au (0.488, 0.788, 0.233)
Au (0.512, 0.212, 0.767)
Au (0.649, 0.602, 0.597)
Au (0.990, 0.785, 0.233)

Theoretical powder diffractogram of Hf2Al6Au for Cu Ka, from a GGA-PBE-relaxed structure.
Kinematic intensities with the Lorentz-polarization factor, no thermal factor.

Largest 12 diffraction maxima, in order of rising 2θ, 2θ from 10° to 80°:
2theta, d_spacing, I_rel
22.47, 3.957, 100
23.71, 3.753, 40
31.20, 2.867, 26
31.51, 2.839, 59
38.68, 2.328, 21
39.56, 2.278, 62
40.95, 2.204, 47
45.06, 2.012, 50
58.79, 1.571, 24
63.70, 1.461, 17
66.08, 1.414, 19
74.08, 1.280, 16

Crystal structure
abc: 7.928 7.928 3.144
angles: 90.00 90.00 123.50
Fractional coordinates of all 9 atoms:
Hf (0.189, 0.811, 0.000)
Hf (0.811, 0.189, 0.000)
Al (0.157, 0.476, 0.500)
Al (0.190, 0.190, 0.000)
Al (0.476, 0.157, 0.500)
Al (0.524, 0.843, 0.500)
Al (0.810, 0.810, 0.000)
Al (0.843, 0.524, 0.500)
Au (0.500, 0.500, 0.500)

Theoretical powder diffractogram of AlHg2Au8 for Cu Ka, from a GGA-PBE-relaxed structure.
Kinematic intensities with the Lorentz-polarization factor, no thermal factor.

Largest 12 diffraction maxima, in order of rising 2θ, 2θ from 10° to 80°:
2theta, d_spacing, I_rel
32.27, 2.774, 46
32.50, 2.755, 38
32.75, 2.734, 47
34.89, 2.571, 38
35.63, 2.520, 63
38.17, 2.358, 89
38.42, 2.343, 85
39.35, 2.290, 79
39.90, 2.260, 77
41.24, 2.189, 100
41.49, 2.177, 52
71.42, 1.321, 49

Crystal structure
abc: 4.379 5.578 9.198
angles: 98.71 102.84 90.64
Fractional coordinates of all 11 atoms:
Al (0.000, 0.000, 0.000)
Hg (0.322, 0.404, 0.643)
Hg (0.678, 0.596, 0.357)
Au (0.080, 0.641, 0.151)
Au (0.147, 0.175, 0.281)
Au (0.256, 0.852, 0.517)
Au (0.466, 0.741, 0.936)
Au (0.534, 0.259, 0.064)
Au (0.744, 0.148, 0.483)
Au (0.853, 0.825, 0.719)
Au (0.920, 0.359, 0.849)